(1)
Structure and theoretical X-ray diffraction stick pattern of ErZr (a structure optimized by DFT (GGA-PBE); Cu Kα (λ = 1.5418 Å)).

Top 6 peaks for 2θ from 10° to 90°, in order of rising 2θ:
2θ 30.32, rel. 23, (0 3 1); 2θ 33.74, rel. 37, (2 0 0); 2θ 34.80, rel. 100, (1 3 1); 2θ 35.09, rel. 49, (1 0 2); 2θ 61.03, rel. 19, (3 3 1); 2θ 65.46, rel. 20, (2 3 3)

```
data_ErZr
_chemical_formula_sum 'Er6 Zr6'
_space_group_name_H-M_alt 'P m c 21'
_space_group_IT_number 26
_space_group_name_Hall 'P 2c -2'
_cell_length_a 5.3136
_cell_length_b 10.2477
_cell_length_c 5.8334
_cell_angle_alpha 90.00
_cell_angle_beta 90.00
_cell_angle_gamma 90.00
loop_
_atom_site_label
_atom_site_type_symbol
_atom_site_fract_x
_atom_site_fract_y
_atom_site_fract_z
Er1 Er 0.0000 0.0827 0.0000
Er2 Er 0.0000 0.4093 0.0201
Er3 Er 0.5000 0.4035 0.6639
Zr1 Zr 0.0000 0.2428 0.5011
Zr2 Zr 0.5000 0.0863 0.6653
Zr3 Zr 0.5000 0.2362 0.1898
```



(2)
Structure and theoretical X-ray diffraction stick pattern of ErZr (a structure optimized by DFT (GGA-PBE); Cu Kα (λ = 1.5418 Å)).

Top 6 peaks for 2θ from 10° to 90°, in order of rising 2θ:
2θ 30.34, rel. 23, (0 3 1); 2θ 33.70, rel. 37, (2 0 0); 2θ 34.81, rel. 100, (1 3 1); 2θ 35.17, rel. 47, (1 0 2); 2θ 61.00, rel. 20, (3 3 1); 2θ 65.55, rel. 20, (2 3 3)

```
data_ErZr
_chemical_formula_sum 'Er6 Zr6'
_space_group_name_H-M_alt 'P m c 21'
_space_group_IT_number 26
_space_group_name_Hall 'P 2c -2'
_cell_length_a 5.3184
_cell_length_b 10.2502
_cell_length_c 5.8165
_cell_angle_alpha 90.00
_cell_angle_beta 90.00
_cell_angle_gamma 90.00
loop_
_atom_site_label
_atom_site_type_symbol
_atom_site_fract_x
_atom_site_fract_y
_atom_site_fract_z
Er1 Er 0.0000 0.0803 0.0000
Er2 Er 0.0000 0.2575 0.5173
Er3 Er 0.5000 0.2551 0.1620
Zr1 Zr 0.0000 0.4304 0.9951
Zr2 Zr 0.5000 0.0796 0.6686
Zr3 Zr 0.5000 0.4257 0.6818
```



(3)
Structure and theoretical X-ray diffraction stick pattern of Pr2NdGaF3 (a structure optimized by DFT (GGA-PBE); Cu Kα (λ = 1.5418 Å)).

Top 6 peaks for 2θ from 10° to 90°, in order of rising 2θ:
2θ 16.23, rel. 100, (1 0 0); 2θ 28.31, rel. 79, (1 1 1); 2θ 32.75, rel. 100, (2 0 0); 2θ 32.92, rel. 49, (0 0 2); 2θ 47.12, rel. 70, (2 0 2); 2θ 58.57, rel. 36, (2 2 2)

```
data_Pr2NdGaF3
_chemical_formula_sum 'Pr2 Nd1 Ga1 F3'
_space_group_name_H-M_alt 'P 4/m m m'
_space_group_IT_number 123
_space_group_name_Hall '-P 4 2'
_cell_length_a 5.4691
_cell_length_b 5.4691
_cell_length_c 5.4415
_cell_angle_alpha 90.00
_cell_angle_beta 90.00
_cell_angle_gamma 90.00
loop_
_atom_site_label
_atom_site_type_symbol
_atom_site_fract_x
_atom_site_fract_y
_atom_site_fract_z
Pr1 Pr 0.0000 0.5000 0.0000
Nd1 Nd 0.0000 0.0000 0.5000
Ga1 Ga 0.0000 0.0000 0.0000
F1 F 0.0000 0.5000 0.5000
F2 F 0.5000 0.5000 0.0000
```



(4)
Structure and theoretical X-ray diffraction stick pattern of Ga4Os2F (a structure optimized by DFT (GGA-PBE); Cu Kα (λ = 1.5418 Å)).

Top 6 peaks for 2θ from 10° to 90°, in order of rising 2θ:
2θ 17.62, rel. 62, (0 0 3); 2θ 36.78, rel. 100, (2 0 -1); 2θ 38.25, rel. 95, (1 1 2); 2θ 40.60, rel. 65, (2 0 3); 2θ 43.72, rel. 73, (2 0 -4); 2θ 51.79, rel. 57, (2 0 6)

```
data_Ga4Os2F
_chemical_formula_sum 'Ga8 Os4 F2'
_space_group_name_H-M_alt 'C 1 m 1'
_space_group_IT_number 8
_space_group_name_Hall 'C -2y'
_cell_length_a 4.9522
_cell_length_b 2.8603
_cell_length_c 15.0982
_cell_angle_alpha 90.00
_cell_angle_beta 90.10
_cell_angle_gamma 90.00
loop_
_atom_site_label
_atom_site_type_symbol
_atom_site_fract_x
_atom_site_fract_y
_atom_site_fract_z
Ga1 Ga 0.0000 0.0000 0.0000
Ga2 Ga 0.0003 0.0000 0.4333
Ga3 Ga 0.1653 0.5000 0.2606
Ga4 Ga 0.1657 0.5000 0.7359
Os1 Os 0.1677 0.5000 0.5706
Os2 Os 0.3329 0.0000 0.8702
F1 F 0.9999 0.0000 0.1242
```



(5)
Structure and theoretical X-ray diffraction stick pattern of GdF2 (a structure optimized by DFT (GGA-PBE); Cu Kα (λ = 1.5418 Å)).

Top 6 peaks for 2θ from 10° to 90°, in order of rising 2θ:
2θ 20.31, rel. 96, (0 0 3); 2θ 30.95, rel. 100, (1 0 1); 2θ 33.19, rel. 91, (0 1 2); 2θ 41.06, rel. 67, (1 0 4); 2θ 46.22, rel. 52, (0 1 5); 2θ 53.59, rel. 38, (1 1 0)

```
data_GdF2
_chemical_formula_sum 'Gd3 F6'
_space_group_name_H-M_alt 'R 3 m'
_space_group_IT_number 160
_space_group_name_Hall 'R 3 -2"'
_cell_length_a 3.4204
_cell_length_b 3.4204
_cell_length_c 13.1179
_cell_angle_alpha 90.00
_cell_angle_beta 90.00
_cell_angle_gamma 120.00
loop_
_atom_site_label
_atom_site_type_symbol
_atom_site_fract_x
_atom_site_fract_y
_atom_site_fract_z
Gd1 Gd 0.0000 0.0000 0.0000
F1 F 0.0000 0.0000 0.5702
F2 F 0.0000 0.0000 0.7672
```



(6)
Structure and theoretical X-ray diffraction stick pattern of Gd13Ge6O31F (a structure optimized by DFT (GGA-PBE); Cu Kα (λ = 1.5418 Å)).

Top 6 peaks for 2θ from 10° to 90°, in order of rising 2θ:
2θ 28.13, rel. 38, (0 0 3); 2θ 29.89, rel. 100, (3 2 1); 2θ 34.15, rel. 45, (5 -3 2); 2θ 47.93, rel. 25, (3 2 4); 2θ 50.19, rel. 14, (1 7 0); 2θ 58.53, rel. 15, (1 7 3)

```
data_Gd13Ge6O31F
_chemical_formula_sum 'Gd39 Ge18 O93 F3'
_space_group_name_H-M_alt 'R 3'
_space_group_IT_number 146
_space_group_name_Hall 'R 3'
_cell_length_a 15.8457
_cell_length_b 15.8457
_cell_length_c 9.5154
_cell_angle_alpha 90.00
_cell_angle_beta 90.00
_cell_angle_gamma 120.00
loop_
_atom_site_label
_atom_site_type_symbol
_atom_site_fract_x
_atom_site_fract_y
_atom_site_fract_z
Gd1 Gd 0.0000 0.0000 0.0000
Gd2 Gd 0.0774 0.8240 0.9458
Gd3 Gd 0.1437 0.1429 0.2934
Gd4 Gd 0.1499 0.0016 0.6474
Gd5 Gd 0.1572 0.4131 0.6542
Ge1 Ge 0.0208 0.2532 0.2932
Ge2 Ge 0.0999 0.6875 0.3091
O1 O 0.0000 0.0000 0.2536
O2 O 0.0077 0.7122 0.2615
O3 O 0.0282 0.1416 0.8730
O4 O 0.0466 0.3708 0.3439
O5 O 0.0546 0.1956 0.4218
O6 O 0.0580 0.5637 0.3578
O7 O 0.0781 0.2407 0.1410
O8 O 0.1542 0.1235 0.0652
O9 O 0.1574 0.3878 0.9123
O10 O 0.1713 0.7488 0.4590
O11 O 0.1934 0.7225 0.1833
F1 F 0.0000 0.0000 0.6350
```



(7)
Structure and theoretical X-ray diffraction stick pattern of GdH2O2F (a structure optimized by DFT (GGA-PBE); Cu Kα (λ = 1.5418 Å)).

Top 6 peaks for 2θ from 10° to 90°, in order of rising 2θ:
2θ 16.70, rel. 43, (0 0 1); 2θ 16.88, rel. 49, (1 0 0); 2θ 17.04, rel. 51, (1 0 -1); 2θ 30.09, rel. 54, (0 1 1); 2θ 30.25, rel. 100, (1 1 0); 2θ 42.96, rel. 37, (2 1 -2)

```
data_GdH2O2F
_chemical_formula_sum 'Gd2 H4 O4 F2'
_space_group_name_H-M_alt 'P 1 21/m 1'
_space_group_IT_number 11
_space_group_name_Hall '-P 2yb'
_cell_length_a 6.0068
_cell_length_b 3.5819
_cell_length_c 6.0730
_cell_angle_alpha 90.00
_cell_angle_beta 119.03
_cell_angle_gamma 90.00
loop_
_atom_site_label
_atom_site_type_symbol
_atom_site_fract_x
_atom_site_fract_y
_atom_site_fract_z
Gd1 Gd 0.1621 0.2500 0.3250
H1 H 0.2471 0.2500 0.8731
H2 H 0.3678 0.7500 0.7493
O1 O 0.1112 0.2500 0.9159
O2 O 0.1962 0.7500 0.6074
F1 F 0.4256 0.7500 0.3107
```



(8)
Structure and theoretical X-ray diffraction stick pattern of GdH2SO5F (a structure optimized by DFT (GGA-PBE); Cu Kα (λ = 1.5418 Å)).

Top 6 peaks for 2θ from 10° to 90°, in order of rising 2θ:
2θ 15.57, rel. 96, (0 0 2); 2θ 19.23, rel. 69, (1 0 0); 2θ 19.82, rel. 68, (0 1 2); 2θ 23.99, rel. 100, (1 1 -2); 2θ 31.09, rel. 91, (1 1 2); 2θ 31.33, rel. 60, (1 2 0)

```
data_GdH2SO5F
_chemical_formula_sum 'Gd4 H8 S4 O20 F4'
_space_group_name_H-M_alt 'P 1 21/c 1'
_space_group_IT_number 14
_space_group_name_Hall '-P 2ybc'
_cell_length_a 4.8656
_cell_length_b 7.2612
_cell_length_c 12.0025
_cell_angle_alpha 90.00
_cell_angle_beta 108.45
_cell_angle_gamma 90.00
loop_
_atom_site_label
_atom_site_type_symbol
_atom_site_fract_x
_atom_site_fract_y
_atom_site_fract_z
Gd1 Gd 0.0333 0.2324 0.3162
H1 H 0.2499 0.6133 0.5044
H2 H 0.3145 0.0195 0.1139
S1 S 0.4034 0.1283 0.6168
O1 O 0.2239 0.5359 0.1021
O2 O 0.2411 0.6029 0.5845
O3 O 0.2829 0.5758 0.8337
O4 O 0.3409 0.2381 0.1995
O5 O 0.3572 0.2231 0.5039
F1 F 0.1816 0.5336 0.3327
```



(9)
Structure and theoretical X-ray diffraction stick pattern of Gd3HgF5 (a structure optimized by DFT (GGA-PBE); Cu Kα (λ = 1.5418 Å)).

Top 6 peaks for 2θ from 10° to 90°, in order of rising 2θ:
2θ 24.26, rel. 61, (1 1 0); 2θ 28.42, rel. 98, (1 1 -1); 2θ 29.44, rel. 100, (1 1 1); 2θ 31.37, rel. 67, (0 0 2); 2θ 31.75, rel. 52, (0 2 1); 2θ 53.41, rel. 38, (2 0 2)

```
data_Gd3HgF5
_chemical_formula_sum 'Gd3 Hg1 F5'
_space_group_name_H-M_alt 'P 1 2 1'
_space_group_IT_number 3
_space_group_name_Hall 'P 2y'
_cell_length_a 4.4559
_cell_length_b 6.4828
_cell_length_c 5.7094
_cell_angle_alpha 90.00
_cell_angle_beta 92.66
_cell_angle_gamma 90.00
loop_
_atom_site_label
_atom_site_type_symbol
_atom_site_fract_x
_atom_site_fract_y
_atom_site_fract_z
Gd1 Gd 0.0000 0.0000 0.0000
Gd2 Gd 0.0000 0.2689 0.5000
Gd3 Gd 0.5000 0.5725 0.0000
Hg1 Hg 0.5000 0.9220 0.5000
F1 F 0.0000 0.6626 0.0000
F2 F 0.2174 0.2944 0.8630
F3 F 0.3163 0.4617 0.3275
```



(10)
Structure and theoretical X-ray diffraction stick pattern of GdHoSbF2 (a structure optimized by DFT (GGA-PBE); Cu Kα (λ = 1.5418 Å)).

Top 6 peaks for 2θ from 10° to 90°, in order of rising 2θ:
2θ 28.45, rel. 100, (1 0 1); 2θ 36.29, rel. 44, (0 1 2); 2θ 44.68, rel. 38, (1 1 0); 2θ 46.85, rel. 25, (0 1 3); 2θ 53.83, rel. 17, (0 2 1); 2θ 72.47, rel. 14, (2 1 1)

```
data_GdHoSbF2
_chemical_formula_sum 'Gd1 Ho1 Sb1 F2'
_space_group_name_H-M_alt 'P 3 m 1'
_space_group_IT_number 156
_space_group_name_Hall 'P 3 -2"'
_cell_length_a 4.0560
_cell_length_b 4.0560
_cell_length_c 6.9773
_cell_angle_alpha 90.00
_cell_angle_beta 90.00
_cell_angle_gamma 120.00
loop_
_atom_site_label
_atom_site_type_symbol
_atom_site_fract_x
_atom_site_fract_y
_atom_site_fract_z
Gd1 Gd 0.0000 0.0000 0.0000
Ho1 Ho 0.3333 0.6667 0.5366
Sb1 Sb 0.6667 0.3333 0.2720
F1 F 0.0000 0.0000 0.6633
F2 F 0.3333 0.6667 0.8622
```



(11)
Structure and theoretical X-ray diffraction stick pattern of GdIn3F6 (a structure optimized by DFT (GGA-PBE); Cu Kα (λ = 1.5418 Å)).

Top 6 peaks for 2θ from 10° to 90°, in order of rising 2θ:
2θ 26.30, rel. 49, (0 2 0); 2θ 27.64, rel. 100, (1 1 1); 2θ 29.46, rel. 39, (2 0 -2); 2θ 29.82, rel. 81, (1 1 -3); 2θ 39.90, rel. 25, (2 2 -2); 2θ 42.29, rel. 25, (0 0 4)

```
data_GdIn3F6
_chemical_formula_sum 'Gd2 In6 F12'
_space_group_name_H-M_alt 'P 1 21/c 1'
_space_group_IT_number 14
_space_group_name_Hall '-P 2ybc'
_cell_length_a 6.0945
_cell_length_b 6.7766
_cell_length_c 10.0246
_cell_angle_alpha 90.00
_cell_angle_beta 121.49
_cell_angle_gamma 90.00
loop_
_atom_site_label
_atom_site_type_symbol
_atom_site_fract_x
_atom_site_fract_y
_atom_site_fract_z
Gd1 Gd 0.0000 0.0000 0.0000
In1 In 0.2930 0.0715 0.7462
In2 In 0.5000 0.0000 0.5000
F1 F 0.0504 0.0498 0.2345
F2 F 0.1742 0.7077 0.0689
F3 F 0.3669 0.1278 0.0413
```



What is the formula in the third record? Pr2NdGaF3